Starting from DFT lattice parameters and positions (GGA-PBE), the X-ray diffraction stick pattern of Pr3DyEr3 was calculated for Cu Kα, 1.54184 Å.

Structure:
Cell: 9.6580 9.6580 5.7801 Å, 90.00 90.00 120.00°
Space group P6_3/m (No. 176)
Unique sites:
Pr  0.0507  0.2452  0.2500 x6
Dy  0.3333  0.6667  0.2500 x2
Er  0.0956  0.4810  0.7500 x6

Peak list (10 most intense, 10 to 90 degrees two-theta, in order of rising 2θ)
two_theta	I/Imax
28.23	23.6
30.94	24.9
32.28	100.0
42.37	15.8
49.97	19.5
55.88	21.1
59.94	22.6
60.75	16.2
82.42	13.5
85.76	8.4

Starting from DFT lattice parameters and positions (GGA-PBE), the X-ray diffraction stick pattern of Pr3DyEr6 was calculated for Cu Kα, 1.54184 Å.

Structure:
Cell: 10.984 18.869 6.325 Å, 90.00 90.00 90.00°
Space group Cmc2_1 (No. 36)
Unique sites:
Pr  0.000  0.111  0.000 x4
Pr  0.176  0.387  0.396 x8
Dy  0.000  0.304  0.064 x4
Er  0.000  0.228  0.579 x4
Er  0.000  0.460  0.807 x4
Er  0.167  0.046  0.477 x8
Er  0.241  0.210  0.304 x8

Peak list (10 most intense, 10 to 90 degrees two-theta, in order of rising 2θ)
two_theta	I/Imax
28.21	34.0
28.63	90.5
28.72	20.0
29.79	31.4
31.62	65.5
31.78	100.0
32.65	42.2
34.05	85.4
34.12	24.2
50.18	37.2

Starting from DFT lattice parameters and positions (GGA-PBE), the X-ray diffraction stick pattern of Pr4DyEr5 was calculated for Cu Kα, 1.54184 Å.

Structure:
Cell: 10.725 10.725 5.946 Å, 90.00 90.00 90.00°
Space group I4mm (No. 107)
Unique sites:
Pr  0.000  0.323  0.000 x8
Dy  0.000  0.000  0.757 x2
Er  0.000  0.000  0.235 x2
Er  0.188  0.188  0.496 x8

Peak list (10 most intense, 10 to 90 degrees two-theta, in order of rising 2θ)
two_theta	I/Imax
29.15	100.0
30.06	13.4
32.35	12.4
34.50	21.2
35.51	43.3
47.20	11.7
51.10	13.1
52.82	16.4
59.06	13.2
59.91	17.6

Starting from DFT lattice parameters and positions (GGA-PBE), the X-ray diffraction stick pattern of Pr3DyEr was calculated for Cu Kα, 1.54184 Å.

Structure:
Cell: 6.280 18.234 6.289 Å, 90.00 108.83 90.00°
Space group C2/c (No. 15)
Unique sites:
Pr  0.000  0.052  0.250 x4
Pr  0.000  0.250  0.250 x4
Pr  0.000  0.448  0.250 x4
Dy  0.000  0.151  0.750 x4
Er  0.000  0.349  0.750 x4

Peak list (10 most intense, 10 to 90 degrees two-theta, in order of rising 2θ)
two_theta	I/Imax
30.08	100.0
34.74	34.1
35.12	16.6
50.23	24.1
59.36	14.6
59.46	14.4
59.91	14.2
62.46	6.3
62.58	6.2
81.71	8.8

Starting from DFT lattice parameters and positions (GGA-PBE), the X-ray diffraction stick pattern of PrDy2Er5 was calculated for Cu Kα, 1.54184 Å.

Structure:
Cell: 16.205 5.626 11.412 Å, 90.00 90.09 90.00°
Space group C2/m (No. 12)
Unique sites:
Pr  0.228  0.000  0.250 x4
Dy  0.212  0.000  0.581 x4
Dy  0.212  0.000  0.919 x4
Er  0.042  0.000  0.387 x4
Er  0.044  0.000  0.112 x4
Er  0.086  0.500  0.921 x4
Er  0.087  0.500  0.577 x4
Er  0.103  0.500  0.250 x4

Peak list (10 most intense, 10 to 90 degrees two-theta, in order of rising 2θ)
two_theta	I/Imax
25.88	18.3
31.84	75.0
32.90	100.0
41.45	10.5
47.82	8.7
51.05	8.2
57.37	20.0
58.61	21.7
61.41	9.0
61.48	8.4

Starting from DFT lattice parameters and positions (GGA-PBE), the X-ray diffraction stick pattern of Pr2Dy3Er5 was calculated for Cu Kα, 1.54184 Å.

Structure:
Cell: 10.558 15.938 9.377 Å, 90.00 124.04 90.00°
Space group C2/c (No. 15)
Unique sites:
Pr  0.141  0.127  0.047 x8
Dy  0.000  0.274  0.750 x4
Dy  0.158  0.379  0.549 x8
Er  0.000  0.022  0.250 x4
Er  0.000  0.232  0.250 x4
Er  0.000  0.473  0.750 x4
Er  0.230  0.382  0.217 x8

Peak list (10 most intense, 10 to 90 degrees two-theta, in order of rising 2θ)
two_theta	I/Imax
30.37	100.0
30.64	41.8
30.75	43.3
32.18	21.8
33.96	42.2
35.72	11.6
37.92	14.9
49.13	18.2
58.63	13.7
65.75	19.6

Starting from DFT lattice parameters and positions (GGA-PBE), the X-ray diffraction stick pattern of Pr3Dy4Er2 was calculated for Cu Kα, 1.54184 Å.

Structure:
Cell: 6.208 6.215 9.505 Å, 108.86 90.18 119.92°
Space group P-1 (No. 2)
Unique sites:
Pr  0.000  0.000  0.000 x1
Pr  0.113  0.557  0.334 x2
Dy  0.223  0.113  0.667 x2
Dy  0.336  0.669  0.000 x2
Er  0.446  0.224  0.334 x2

Peak list (10 most intense, 10 to 90 degrees two-theta, in order of rising 2θ)
two_theta	I/Imax
30.46	100.0
30.57	33.0
35.31	45.0
35.42	22.3
50.69	8.1
50.87	32.1
60.34	19.2
60.49	23.8
60.58	14.2
63.36	8.3

Starting from DFT lattice parameters and positions (GGA-PBE), the X-ray diffraction stick pattern of PrDy7Er4 was calculated for Cu Kα, 1.54184 Å.

Structure:
Cell: 6.188 7.152 8.804 Å, 89.96 76.27 89.92°
Space group P-1 (No. 2)
Unique sites:
Pr  0.000  0.000  0.000 x1
Dy  0.000  0.500  0.000 x1
Dy  0.222  0.000  0.335 x2
Dy  0.279  0.748  0.664 x2
Dy  0.500  0.252  0.000 x2
Er  0.221  0.500  0.335 x2
Er  0.279  0.252  0.665 x2

Peak list (10 most intense, 10 to 90 degrees two-theta, in order of rising 2θ)
two_theta	I/Imax
29.06	36.7
29.69	16.9
31.38	50.8
32.11	100.0
33.79	60.3
33.88	30.2
51.11	39.2
61.16	30.4
61.31	15.1
62.70	15.3

Starting from DFT lattice parameters and positions (GGA-PBE), the X-ray diffraction stick pattern of Pr4DyEr5 was calculated for Cu Kα, 1.54184 Å.

Structure:
Cell: 3.528 8.741 11.352 Å, 90.08 90.00 101.55°
Space group P-1 (No. 2)
Unique sites:
Pr  0.033  0.066  0.249 x2
Pr  0.344  0.680  0.250 x2
Dy  0.500  0.000  0.500 x1
Er  0.172  0.345  0.046 x2
Er  0.172  0.346  0.452 x2
Er  0.500  0.000  0.000 x1

Peak list (10 most intense, 10 to 90 degrees two-theta, in order of rising 2θ)
two_theta	I/Imax
25.74	17.4
26.97	20.6
31.33	28.3
31.54	46.3
33.78	100.0
45.04	11.0
45.83	9.8
47.94	15.2
51.83	9.4
61.95	12.1

Starting from DFT lattice parameters and positions (GGA-PBE), the X-ray diffraction stick pattern of PrDy9Er2 was calculated for Cu Kα, 1.54184 Å.

Structure:
Cell: 11.2217 11.2217 3.5100 Å, 90.00 90.00 120.00°
Space group P6/mmm (No. 191)
Unique sites:
Pr  0.0000  0.0000  0.0000 x1
Dy  0.0000  0.5000  0.0000 x3
Dy  0.1787  0.3573  0.5000 x6
Er  0.3333  0.6667  0.0000 x2

Peak list (10 most intense, 10 to 90 degrees two-theta, in order of rising 2θ)
two_theta	I/Imax
30.03	26.0
31.44	52.3
31.90	100.0
35.37	22.5
37.79	15.6
45.40	17.4
56.56	17.6
56.84	17.0
62.42	29.4
80.73	12.4

Starting from DFT lattice parameters and positions (GGA-PBE), the X-ray diffraction stick pattern of Pr4Dy6Er was calculated for Cu Kα, 1.54184 Å.

Structure:
Cell: 11.0684 11.0684 3.5803 Å, 90.00 90.00 120.00°
Space group P-6m2 (No. 187)
Unique sites:
Pr  0.0000  0.0000  0.0000 x1
Pr  0.5022  0.0043  0.5000 x3
Dy  0.1769  0.3539  0.0000 x3
Dy  0.3080  0.1540  0.5000 x3
Er  0.6667  0.3333  0.0000 x1

Peak list (10 most intense, 10 to 90 degrees two-theta, in order of rising 2θ)
two_theta	I/Imax
29.72	18.6
31.18	87.0
32.35	100.0
35.24	17.1
37.74	10.3
45.55	27.9
56.97	26.7
57.70	16.7
61.72	31.5
80.60	12.7

Starting from DFT lattice parameters and positions (GGA-PBE), the X-ray diffraction stick pattern of Pr5DyEr3 was calculated for Cu Kα, 1.54184 Å.

Structure:
Cell: 20.212 6.344 11.761 Å, 90.00 122.90 90.00°
Space group C2/c (No. 15)
Unique sites:
Pr  0.000  0.094  0.250 x4
Pr  0.139  0.173  0.662 x8
Pr  0.180  0.324  0.331 x8
Dy  0.000  0.395  0.750 x4
Er  0.000  0.500  0.000 x4
Er  0.175  0.275  0.024 x8

Peak list (10 most intense, 10 to 90 degrees two-theta, in order of rising 2θ)
two_theta	I/Imax
25.56	33.0
28.39	72.4
29.17	90.3
29.71	55.9
30.08	55.3
31.64	100.0
32.72	53.8
33.51	98.7
35.32	37.2
39.41	32.8